Rb3NiPb2F9: simulated X-ray powder pattern (copper Kα), based on the GGA+U geometry in Alexandria.

Peak list (10 most intense, 2θ = 10–90°, by angle)
| Position (°2θ) | I_rel | h k l |
| --- | --- | --- |
| 19.34 | 26 | 1 0 1 |
| 27.48 | 100 | 1 1 0 |
| 35.71 | 6 | 1 1 2 |
| 39.26 | 34 | 2 0 2 |
| 44.13 | 11 | 2 1 1 |
| 48.59 | 42 | 3 0 0 |
| 56.73 | 22 | 2 2 0 |
| 64.16 | 20 | 3 1 2 |
| 77.82 | 10 | 1 3 4 |
| 77.93 | 11 | 4 1 0 |

Cell and atoms:
abc: 6.487 6.487 7.961
angles: 90.00 90.00 120.00
Fractional positions:
Rb 0.000 0.000 0.000
Rb 0.333 0.667 0.662
Rb 0.667 0.333 0.338
Ni 0.000 0.000 0.500
Pb 0.333 0.667 0.189
Pb 0.667 0.333 0.811
F 0.000 0.500 0.000
F 0.149 0.298 0.352
F 0.149 0.851 0.352
F 0.298 0.149 0.648
F 0.500 0.000 0.000
F 0.500 0.500 0.000
F 0.702 0.851 0.352
F 0.851 0.149 0.648
F 0.851 0.702 0.648